1.
Starting from a GGA-PBE-relaxed structure, the X-ray diffraction stick pattern of MgTi2 was simulated for Cu Kα.

Structural model:
```
data_MgTi2
_chemical_formula_sum 'Mg4 Ti8'
_cell_length_a 4.9795
_cell_length_b 2.8793
_cell_length_c 15.4967
_cell_angle_alpha 90.00
_cell_angle_beta 90.00
_cell_angle_gamma 90.00
_space_group_name_H-M_alt 'A m m 2'
_space_group_IT_number 38
loop_
_space_group_symop_operation_xyz
'x,y,z'
'-x,-y,z'
'-x,y,z'
'x,-y,z'
'x,y+1/2,z+1/2'
'-x,-y+1/2,z+1/2'
'-x,y+1/2,z+1/2'
'x,-y+1/2,z+1/2'
loop_
_atom_site_label
_atom_site_type_symbol
_atom_site_fract_x
_atom_site_fract_y
_atom_site_fract_z
_atom_site_occupancy
Mg1 Mg 0.0000 0.0000 0.0000 1
Mg2 Mg 0.0000 0.0000 0.3317 1
Ti1 Ti 0.0000 0.0000 0.6622 1
Ti2 Ti 0.5000 0.0000 0.1118 1
Ti3 Ti 0.5000 0.0000 0.4440 1
Ti4 Ti 0.5000 0.0000 0.7718 1
```

Principal peaks in the range 2θ from 15° to 90°, most intense first:
2theta  I (rel.)
40.17  100
39.30  52
36.07  45
35.70  25
67.63  19
74.69  17
51.66  16
62.89  15
34.73  14
78.44  11

2.
Starting from a GGA-PBE-relaxed structure, the X-ray diffraction stick pattern of Ba3Fe3N5 was simulated for Cu Kα.

Structural model:
```
data_Ba3Fe3N5
_chemical_formula_sum 'Ba6 Fe6 N10'
_cell_length_a 5.8802
_cell_length_b 7.8816
_cell_length_c 8.7494
_cell_angle_alpha 104.34
_cell_angle_beta 103.81
_cell_angle_gamma 104.28
_space_group_name_H-M_alt 'P -1'
_space_group_IT_number 2
loop_
_space_group_symop_operation_xyz
'x,y,z'
'-x,-y,-z'
loop_
_atom_site_label
_atom_site_type_symbol
_atom_site_fract_x
_atom_site_fract_y
_atom_site_fract_z
_atom_site_occupancy
Ba1 Ba 0.1635 0.3593 0.3871 1
Ba2 Ba 0.2205 0.2269 0.7419 1
Ba3 Ba 0.2618 0.9303 0.1153 1
Fe1 Fe 0.1684 0.4926 0.0955 1
Fe2 Fe 0.3950 0.8370 0.4843 1
Fe3 Fe 0.4120 0.6608 0.8219 1
N1 N 0.1700 0.5725 0.9095 1
N2 N 0.2565 0.2756 0.0763 1
N3 N 0.2676 0.0234 0.4447 1
N4 N 0.3184 0.6674 0.2917 1
N5 N 0.3521 0.7361 0.6467 1
```

Principal peaks in the range 2θ from 15° to 90°, most intense first:
2theta  I (rel.)
32.23  100
29.04  83
31.02  82
30.26  66
32.52  50
33.18  42
28.35  38
35.15  32
23.54  31
31.35  25

3.
Starting from a GGA-PBE-relaxed structure, the X-ray diffraction stick pattern of TiCuSi was simulated for Cu Kα.

Structural model:
```
data_TiCuSi
_chemical_formula_sum 'Ti4 Cu4 Si4'
_cell_length_a 6.2161
_cell_length_b 3.7254
_cell_length_c 7.1736
_cell_angle_alpha 90.00
_cell_angle_beta 90.00
_cell_angle_gamma 90.00
_space_group_name_H-M_alt 'P n m a'
_space_group_IT_number 62
loop_
_space_group_symop_operation_xyz
'x,y,z'
'-x,-y,-z'
'-x+1/2,-y,z+1/2'
'x+1/2,y,-z+1/2'
'x+1/2,-y+1/2,-z+1/2'
'-x+1/2,y+1/2,z+1/2'
'-x,y+1/2,-z'
'x,-y+1/2,z'
loop_
_atom_site_label
_atom_site_type_symbol
_atom_site_fract_x
_atom_site_fract_y
_atom_site_fract_z
_atom_site_occupancy
Ti1 Ti 0.0217 0.2500 0.1790 1
Cu1 Cu 0.1503 0.2500 0.5647 1
Si1 Si 0.2343 0.7500 0.3784 1
```

Principal peaks in the range 2θ from 15° to 90°, most intense first:
2theta  I (rel.)
37.70  100
39.81  54
45.59  38
45.05  38
48.90  32
30.63  19
74.46  18
40.42  18
69.06  15
18.89  13

4.
Starting from a GGA-PBE-relaxed structure, the X-ray diffraction stick pattern of Ca2SnS4 was simulated for Cu Kα.

Structural model:
```
data_Ca2SnS4
_chemical_formula_sum 'Ca8 Sn4 S16'
_cell_length_a 6.8016
_cell_length_b 7.1573
_cell_length_c 15.5791
_cell_angle_alpha 90.00
_cell_angle_beta 106.34
_cell_angle_gamma 90.00
_space_group_name_H-M_alt 'P 1 21/c 1'
_space_group_IT_number 14
loop_
_space_group_symop_operation_xyz
'x,y,z'
'-x,-y,-z'
'-x,y+1/2,-z+1/2'
'x,-y+1/2,z+1/2'
loop_
_atom_site_label
_atom_site_type_symbol
_atom_site_fract_x
_atom_site_fract_y
_atom_site_fract_z
_atom_site_occupancy
Ca1 Ca 0.2041 0.2470 0.0236 1
Ca2 Ca 0.2593 0.1690 0.7827 1
Sn1 Sn 0.2567 0.7354 0.9055 1
S1 S 0.0078 0.0141 0.3721 1
S2 S 0.0123 0.5086 0.3797 1
S3 S 0.4665 0.7166 0.0561 1
S4 S 0.4744 0.6856 0.3133 1
```

Principal peaks in the range 2θ from 15° to 90°, most intense first:
2theta  I (rel.)
17.15  100
33.24  73
29.37  68
33.39  66
15.31  66
46.66  63
24.88  52
20.43  52
37.29  45
28.44  34

5.
Starting from a GGA-PBE-relaxed structure, the X-ray diffraction stick pattern of Sr2PdPt was simulated for Cu Kα.

Structural model:
```
data_Sr2PdPt
_chemical_formula_sum 'Sr8 Pd4 Pt4'
_cell_length_a 7.4196
_cell_length_b 7.4196
_cell_length_c 7.4196
_cell_angle_alpha 90.00
_cell_angle_beta 90.00
_cell_angle_gamma 90.00
_space_group_name_H-M_alt 'F m -3 m'
_space_group_IT_number 225
_space_group_name_Hall '-F 4 2 3'
loop_
_atom_site_label
_atom_site_type_symbol
_atom_site_fract_x
_atom_site_fract_y
_atom_site_fract_z
_atom_site_occupancy
Sr1 Sr 0.2500 0.2500 0.2500 1
Pd1 Pd 0.0000 0.0000 0.0000 1
Pt1 Pt 0.0000 0.0000 0.5000 1
```

Principal peaks in the range 2θ from 15° to 90°, most intense first:
2theta  I (rel.)
34.18  100
61.20  37
49.12  18
82.16  16
72.00  11
23.99  8
20.74  7
40.32  4
55.38  3
42.19  3

6.
Starting from a GGA-PBE-relaxed structure, the X-ray diffraction stick pattern of LiBe2Ir was simulated for Cu Kα.

Structural model:
```
data_LiBe2Ir
_chemical_formula_sum 'Li4 Be8 Ir4'
_cell_length_a 5.5011
_cell_length_b 5.5011
_cell_length_c 5.5011
_cell_angle_alpha 90.00
_cell_angle_beta 90.00
_cell_angle_gamma 90.00
_space_group_name_H-M_alt 'F m -3 m'
_space_group_IT_number 225
_space_group_name_Hall '-F 4 2 3'
loop_
_atom_site_label
_atom_site_type_symbol
_atom_site_fract_x
_atom_site_fract_y
_atom_site_fract_z
_atom_site_occupancy
Li1 Li 0.0000 0.0000 0.0000 1
Be1 Be 0.2500 0.2500 0.2500 1
Ir1 Ir 0.0000 0.0000 0.5000 1
```

Principal peaks in the range 2θ from 15° to 90°, most intense first:
2theta  I (rel.)
28.10  100
32.55  50
46.70  48
55.39  46
75.30  19
77.62  17
86.71  17
58.08  13
68.19  8

7.
Starting from a GGA-PBE-relaxed structure, the X-ray diffraction stick pattern of KNa4Cl5 was simulated for Cu Kα.

Structural model:
```
data_KNa4Cl5
_chemical_formula_sum 'K2 Na8 Cl10'
_cell_length_a 4.1669
_cell_length_b 4.1669
_cell_length_c 29.0264
_cell_angle_alpha 90.00
_cell_angle_beta 90.00
_cell_angle_gamma 90.00
_space_group_name_H-M_alt 'I 4/m m m'
_space_group_IT_number 139
_space_group_name_Hall '-I 4 2'
loop_
_atom_site_label
_atom_site_type_symbol
_atom_site_fract_x
_atom_site_fract_y
_atom_site_fract_z
_atom_site_occupancy
K1 K 0.0000 0.0000 0.0000 1
Na1 Na 0.0000 0.0000 0.2017 1
Na2 Na 0.0000 0.0000 0.3969 1
Cl1 Cl 0.0000 0.0000 0.1054 1
Cl2 Cl 0.0000 0.0000 0.2993 1
Cl3 Cl 0.0000 0.0000 0.5000 1
```

Principal peaks in the range 2θ from 15° to 90°, most intense first:
2theta  I (rel.)
30.34  100
43.78  62
30.80  46
43.43  33
54.19  31
79.96  17
71.61  13
71.87  12
72.62  10
63.11  9